[1]
Structure and computed PXRD pattern of NaGdNO (a cell relaxed with GGA-PBE; CuKα).
Neutral-atom scattering factors, no anomalous dispersion.

Top 8 peaks for 2θ = 15–90°, sorted by position:
h k l  Position (°2θ)  Rel. int.
1 0 1  22.33  100
0 1 0  23.15  47
0 0 2  24.28  35
0 1 1  26.18  42
1 0 2  30.83  37
1 1 1  32.38  89
2 0 0  37.97  35
0 1 3  43.90  41

Structural model:
```
NaGdNO
1.0
4.7395 0.0000 0.0000
0.0000 3.8425 0.0000
0.0000 0.0000 7.3329
Na Gd N O
2 2 2 2
Direct
0.2500 0.0000 0.1400
0.7500 0.0000 0.8600
0.2500 0.5000 0.6806
0.7500 0.5000 0.3194
0.2500 0.5000 0.3633
0.7500 0.5000 0.6367
0.2500 0.0000 0.8274
0.7500 0.0000 0.1726
```

[2]
Structure and computed PXRD pattern of GdNbN2O (a cell relaxed with GGA-PBE; CuKα).
Neutral-atom scattering factors, no anomalous dispersion.

Top 8 peaks for 2θ = 15–90°, sorted by position:
h k l  Position (°2θ)  Rel. int.
1 1 0  28.22  33
0 0 2  30.87  41
1 1 1  32.25  100
0 2 1  32.63  54
1 1 2  42.32  26
1 3 0  50.49  24
1 1 3  55.78  22
1 3 2  60.36  25

Structural model:
```
GdNbN2O
1.0
3.6695 0.0000 0.0000
0.0000 6.2317 0.0000
0.0000 0.0000 5.7929
Gd Nb N O
2 2 4 2
Direct
0.0000 0.1530 0.0000
0.0000 0.8470 0.5000
0.5000 0.3238 0.5418
0.5000 0.6762 0.0418
0.0000 0.2127 0.6003
0.0000 0.7873 0.1003
0.5000 0.4012 0.8973
0.5000 0.5988 0.3973
0.5000 0.0942 0.2790
0.5000 0.9058 0.7790
```